Na2GeO9: computed X-ray powder pattern (Cu Ka), based on DFT lattice parameters and positions (GGA-PBE).

Largest 10 diffraction maxima, sorted by position, 15 to 90 degrees two-theta:
(0 0 2), 17.46 deg, I 39; (1 0 1), 17.97 deg, I 100; (1 1 0), 20.97 deg, I 21; (1 1 -2), 25.27 deg, I 27; (2 0 -1), 27.28 deg, I 16; (2 0 0), 27.91 deg, I 17; (1 1 2), 29.42 deg, I 45; (0 2 0), 31.64 deg, I 47; (2 1 -2), 33.52 deg, I 37; (0 2 2), 36.38 deg, I 23

Crystal structure
```
data_Na2GeO9
_cell_length_a 6.5649
_cell_length_b 5.6549
_cell_length_c 10.4322
_cell_angle_alpha 90.00
_cell_angle_beta 103.11
_cell_angle_gamma 90.00
_symmetry_space_group_name_H-M 'P 1'
_symmetry_Int_Tables_number 1
loop_
_symmetry_equiv_pos_as_xyz
'x,y,z'
loop_
_atom_site_label
_atom_site_fract_x
_atom_site_fract_y
_atom_site_fract_z
_atom_site_occupancy
Na1 0.1786 0.0000 0.0222 1
Na2 0.1865 0.9069 0.5197 1
Na3 0.8135 0.4069 0.4803 1
Na4 0.8214 0.5000 0.9778 1
Ge1 0.1974 0.5555 0.7830 1
Ge2 0.8026 0.0555 0.2170 1
O1 0.0847 0.5790 0.6201 1
O2 0.1153 0.6446 0.9184 1
O3 0.2145 0.2053 0.8259 1
O4 0.2154 0.5347 0.3297 1
O5 0.2275 0.5150 0.2137 1
O6 0.2792 0.0634 0.7419 1
O7 0.4301 0.9784 0.3034 1
O8 0.4695 0.1093 0.4069 1
O9 0.4931 0.5819 0.8143 1
O10 0.5069 0.0819 0.1857 1
O11 0.5305 0.6093 0.5931 1
O12 0.5699 0.4784 0.6966 1
O13 0.7208 0.5634 0.2581 1
O14 0.7725 0.0150 0.7863 1
O15 0.7846 0.0347 0.6703 1
O16 0.7855 0.7053 0.1741 1
O17 0.8847 0.1446 0.0816 1
O18 0.9153 0.0790 0.3799 1
```